Computed PXRD pattern
Compound: SmEr2Sn4Pd4
Radiation: a wavelength of 1.5418 Å
Structure: a PBE-relaxed structure

The 10 most intense peaks (5 to 70 degrees two-theta), by angle:
| 2θ/deg | I (rel.) |
| --- | --- |
| 32.1 | 100 |
| 32.8 | 27 |
| 34.1 | 81 |
| 36.6 | 20 |
| 36.8 | 17 |
| 40.8 | 28 |
| 41.2 | 42 |
| 44.4 | 31 |
| 49.0 | 17 |
| 59.4 | 18 |

Structural model:
Cell: 8.5062 8.5062 8.5062 Å, 150.16 128.11 61.02°
Element x y z (fractional)
Sm1 0.0000 0.0000 0.0000
Er1 0.3713 0.8713 0.5000
Er2 0.6287 0.1287 0.5000
Sn1 0.2160 0.2160 0.0000
Sn2 0.3053 0.5000 0.8053
Sn3 0.6947 0.5000 0.1947
Sn4 0.7840 0.7840 0.0000
Pd1 0.0246 0.3226 0.7020
Pd2 0.3795 0.6774 0.7020
Pd3 0.6205 0.3226 0.2980
Pd4 0.9754 0.6774 0.2980